Structure and calculated X-ray powder pattern of MgNpCoOs (DFT lattice parameters and positions (PBE); Cu Kα, 1.54184 Å).
No peak broadening, texture or thermal motion is included.

Main lines, low angle first (2θ from 10° to 80°):
23.93°, rel. 54
39.57°, rel. 100
46.78°, rel. 29
57.21°, rel. 17
62.89°, rel. 12
71.79°, rel. 35

Cell and atoms:
Lattice parameters (Å, degrees): 6.4413 6.4413 6.4413 90.00 90.00 90.00
Space group F-43m (No. 216)
One atom of each set of equivalent atoms:
Mg1 0.0000 0.0000 0.0000 x4
Np1 0.0000 0.0000 0.5000 x4
Co1 0.2500 0.2500 0.7500 x4
Os1 0.2500 0.2500 0.2500 x4